Starting from a cell relaxed with GGA+U, the powder XRD pattern of Li4VFe3P4O16 was calculated for Cu Kα.
Kinematic intensities with the Lorentz-polarization factor, no thermal factor.

```
28
Lattice="4.7568 0.0000 0.0000 0.0000 6.0896 0.0000 -0.0150 0.0000 10.4640" Properties=species:S:1:pos:R:3 pbc="T T T"
Li 0.0000 1.5122 0.0000
Li 0.0000 4.5774 0.0000
Li 2.3551 1.5290 5.2579
Li 2.3551 4.5606 5.2579
V 4.6621 3.0448 2.9260
Fe 0.1013 0.0000 7.5456
Fe 2.2419 0.0000 2.3349
Fe 2.4846 3.0448 8.1943
P 0.3725 3.0448 6.2512
P 1.9843 3.0448 1.0003
P 2.7508 0.0000 9.5101
P 4.3090 0.0000 4.2931
O 0.9656 3.0448 4.8152
O 1.0066 1.8100 6.9931
O 1.0066 4.2796 6.9931
O 1.0890 0.0000 4.2454
O 1.2127 0.0000 9.4811
O 1.3481 1.8090 1.7457
O 1.3481 4.2806 1.7457
O 1.3756 3.0448 10.0312
O 3.3527 0.0000 0.4861
O 3.3849 1.2361 8.7720
O 3.3849 4.8535 8.7720
O 3.5197 3.0448 1.0234
O 3.5929 3.0448 6.2804
O 3.6602 1.2358 3.5690
O 3.6602 4.8538 3.5690
O 3.7380 0.0000 5.7411
```

Largest 10 diffraction maxima, low angle first, 2θ = 10–90°:
h k l, 2theta, I (rel.)
0 0 2, 16.95, 29
1 0 1, 20.51, 57
0 1 2, 22.40, 21
1 1 -1, 25.25, 86
0 2 0, 29.33, 74
1 0 3, 31.82, 25
1 1 -3, 35.14, 100
1 2 1, 36.06, 29
2 2 2, 51.81, 35
1 3 -3, 55.85, 24



Starting from a cell relaxed with GGA+U, the powder XRD pattern of Li2VFeP4O14 was calculated for Cu Kα.
Kinematic intensities with the Lorentz-polarization factor, no thermal factor.

```
44
Lattice="7.0341 0.0000 0.0000 0.0000 8.2787 0.0000 -3.1086 0.0000 9.2961" Properties=species:S:1:pos:R:3 pbc="T T T"
Li 0.1248 0.0000 3.1377
Li -1.4291 8.2761 7.7976
Li 5.3546 4.1367 1.4985
Li 3.8007 4.1393 6.1584
V 0.4943 2.9666 3.3139
V 3.4312 7.1059 5.9822
Fe -1.0279 2.9665 7.9686
Fe 4.9533 7.1058 1.3274
P -2.7787 5.6050 8.8283
P -1.2214 5.6267 4.1758
P 0.9294 4.7349 5.9539
P 2.4840 4.7515 1.3041
P 2.9961 0.5956 3.3421
P 1.4415 0.6122 7.9920
P 6.7042 1.4657 0.4677
P 5.1469 1.4873 5.1202
O -1.1056 4.2758 3.4617
O -2.6338 4.2467 8.1257
O -0.3822 2.6328 1.4630
O -1.9278 2.6588 6.1055
O -0.6806 1.5097 4.1704
O -2.2269 1.4925 8.8314
O 0.1022 5.8329 5.0788
O 1.6558 5.8412 0.4289
O 1.6418 4.4072 2.5217
O 0.0911 4.3800 7.1719
O 1.7043 1.3139 2.9651
O 0.1452 1.3435 7.6218
O 1.2308 3.5070 5.0831
O 2.7859 3.5275 0.4315
O 2.6947 7.6463 4.2130
O 1.1396 7.6668 8.8646
O 2.2211 5.4532 6.3309
O 3.7803 5.4828 1.6743
O 3.8343 0.2407 2.1241
O 2.2837 0.2679 6.7743
O 3.8233 1.6935 4.2173
O 2.2697 1.7019 8.8671
O 6.1524 5.6318 0.4647
O 4.6061 5.6491 5.1256
O 5.8533 6.7981 3.1906
O 4.3077 6.7722 7.8330
O 6.5593 0.1073 1.1704
O 5.0311 0.1364 5.8343
```

Largest 10 diffraction maxima, low angle first, 2θ = 10–90°:
h k l, 2theta, I (rel.)
1 1 0, 17.07, 100
0 1 2, 21.93, 22
1 1 -2, 22.29, 48
1 2 0, 25.32, 18
1 0 2, 26.63, 22
1 1 2, 28.79, 28
1 2 -2, 29.17, 55
2 1 -2, 29.61, 27
2 2 0, 34.53, 13
2 3 -2, 43.06, 13



Starting from a cell relaxed with GGA+U, the powder XRD pattern of Li2ZnFeP2O8 was calculated for Cu Kα.
Kinematic intensities with the Lorentz-polarization factor, no thermal factor.

```
28
Lattice="4.7580 0.0000 0.0000 0.0000 6.0500 0.0000 -0.0589 0.0000 10.3614" Properties=species:S:1:pos:R:3 pbc="T T T"
Li 0.0000 0.0000 0.0000
Li 0.0000 3.0250 0.0000
Li 2.3495 0.0000 5.1807
Li 2.3495 3.0250 5.1807
Zn 0.0709 1.5125 7.4275
Zn 4.6281 4.5375 2.9339
Fe 2.2454 1.5125 2.2801
Fe 2.4536 4.5375 8.0813
P 0.3539 4.5375 6.1461
P 1.9789 4.5375 0.9995
P 2.7202 1.5125 9.3619
P 4.3452 1.5125 4.2153
O 0.9502 4.5375 4.7047
O 0.9954 3.3014 6.8801
O 0.9954 5.7736 6.8801
O 1.1218 1.5125 4.1976
O 1.1806 1.5125 9.3138
O 1.3330 3.3048 1.7299
O 1.3330 5.7703 1.7299
O 1.3484 4.5375 9.9163
O 3.3506 1.5125 0.4451
O 3.3661 0.2797 8.6315
O 3.3661 2.7453 8.6315
O 3.5185 4.5375 1.0476
O 3.5772 4.5375 6.1638
O 3.7037 0.2764 3.4812
O 3.7037 2.7486 3.4812
O 3.7489 1.5125 5.6567
```

Largest 10 diffraction maxima, low angle first, 2θ = 10–90°:
h k l, 2theta, I (rel.)
0 0 2, 17.12, 42
1 0 -1, 20.54, 60
1 1 1, 25.32, 100
0 2 0, 29.53, 73
1 1 -3, 35.29, 54
1 1 3, 35.46, 53
1 2 -1, 36.24, 30
0 1 4, 37.78, 25
2 2 2, 52.07, 24
0 1 6, 55.32, 21